Simulated powder XRD pattern
Compound: Ba3Cr2O6
Radiation: λ = 1.5418 Å (Cu Kα)
Structure: a GGA+U-relaxed structure
Intensities are scaled so that the largest is 100.

Main lines, by intensity (10 to 80 degrees two-theta):
2theta, intensity
30.2, 100.0
31.2, 55.8
54.9, 36.3
44.7, 32.5
40.2, 32.3
22.3, 23.0

Structure:
abc: 11.1812 11.1812 11.1812
angles: 159.10 159.10 29.72
Fractional positions:
1 Ba 0.0000 0.0000 0.0000
2 Ba 0.1814 0.1814 0.0000
3 Ba 0.8186 0.8186 0.0000
4 Cr 0.3969 0.3969 0.0000
5 Cr 0.6031 0.6031 0.0000
6 O 0.0877 0.5877 0.5000
7 O 0.3082 0.3082 0.0000
8 O 0.4123 0.9123 0.5000
9 O 0.5877 0.0877 0.5000
10 O 0.6918 0.6918 0.0000
11 O 0.9123 0.4123 0.5000